# Zr3Pt5
Computed powder diffractogram, Cu Kα (weighted mean of Kα1 and Kα2). Input: a cell relaxed with GGA-PBE.

Top 10 peaks for 10 to 80 degrees two-theta, by angle:
| two_theta | Rel. int. |
| --- | --- |
| 24.88 | 10 |
| 32.72 | 10 |
| 37.89 | 26 |
| 38.10 | 100 |
| 40.54 | 21 |
| 40.65 | 24 |
| 43.87 | 35 |
| 56.74 | 18 |
| 66.55 | 9 |
| 79.23 | 14 |

Atomic structure:
```
Zr3Pt5
1.0
4.4389 -3.4476 0.0000
4.4389 3.4476 0.0000
0.0000 0.0000 9.4991
Zr Pt
6 10
Cartesian
4.4389 2.5830 7.1243
2.6402 0.0000 0.0000
2.6402 0.0000 4.7496
6.2376 0.0000 0.0000
6.2376 0.0000 4.7496
4.4389 -2.5830 2.3748
2.0167 1.4580 7.1243
4.4389 2.1680 0.4413
4.4389 2.1680 4.3082
2.0167 -1.4580 2.3748
4.4389 0.1527 2.3748
4.4389 -0.1527 7.1243
6.8611 1.4580 7.1243
4.4389 -2.1680 5.1909
4.4389 -2.1680 9.0578
6.8611 -1.4580 2.3748
```

***

# Li3PS3
Computed powder diffractogram, Cu Kα (weighted mean of Kα1 and Kα2). Input: a cell relaxed with GGA-PBE.

Top 10 peaks for 10 to 80 degrees two-theta, by angle:
| two_theta | Rel. int. |
| --- | --- |
| 21.89 | 100 |
| 24.95 | 51 |
| 30.92 | 20 |
| 36.39 | 24 |
| 38.05 | 10 |
| 43.83 | 11 |
| 44.01 | 22 |
| 44.63 | 18 |
| 58.38 | 18 |
| 59.55 | 11 |

Atomic structure:
```
Li3PS3
1.0
4.1306 -7.1190 0.0000
4.1306 7.1190 0.0000
0.0000 0.0000 4.9383
Li P S
6 2 6
Cartesian
2.1524 1.2333 3.7037
4.1306 4.6486 3.7037
2.1524 -1.2333 1.2346
6.1088 1.2333 3.7037
4.1306 -4.6486 1.2346
6.1088 -1.2333 1.2346
4.1306 2.3813 1.2346
4.1306 -2.3813 3.7037
4.1306 4.5090 1.2346
2.2879 1.3172 1.2346
2.2879 -1.3172 3.7037
5.9733 1.3172 1.2346
5.9733 -1.3172 3.7037
4.1306 -4.5090 3.7037
```